1.
# Na5Fe2P2C2O14
Calculated PXRD pattern, Cu Ka. Input: the GGA+U geometry in Alexandria.

Largest 10 diffraction maxima, sorted by position, 2θ from 10° to 90°:
two_theta  I (rel.)  index
19.3  42  -1 1 1
19.7  45  1 -1 1
25.7  26  -1 1 2
26.9  98  2 2 0
29.8  25  0 0 3
33.2  26  2 2 2
33.6  25  3 1 -1
33.7  22  1 3 -1
34.0  100  2 -2 0
55.5  25  4 4 0

Cell and atoms:
Cell: 8.444 8.487 9.014 Å, 88.09 89.70 77.13°
Element x y z (fractional)
Na1 0.008 0.262 0.419
Na2 0.111 0.880 0.239
Na3 0.360 0.628 0.764
Na4 0.380 0.100 0.227
Na5 0.471 0.262 0.583
Na6 0.529 0.738 0.417
Na7 0.620 0.900 0.773
Na8 0.640 0.372 0.236
Na9 0.889 0.120 0.761
Na10 0.992 0.738 0.581
Fe1 0.238 0.020 0.839
Fe2 0.260 0.479 0.143
Fe3 0.740 0.521 0.857
Fe4 0.762 0.980 0.161
P1 0.019 0.735 0.920
P2 0.478 0.763 0.081
P3 0.522 0.237 0.919
P4 0.981 0.265 0.080
C1 0.246 0.515 0.422
C2 0.269 0.979 0.551
C3 0.731 0.021 0.449
C4 0.754 0.485 0.578
O1 0.052 0.182 0.940
O2 0.086 0.848 0.807
O3 0.112 0.326 0.171
O4 0.147 0.608 0.327
O5 0.156 0.092 0.604
O6 0.165 0.590 0.962
O7 0.245 0.541 0.560
O8 0.282 0.954 0.410
O9 0.325 0.898 0.047
O10 0.346 0.391 0.364
O11 0.373 0.890 0.644
O12 0.404 0.170 0.821
O13 0.432 0.619 0.171
O14 0.441 0.300 0.069
O15 0.559 0.700 0.931
O16 0.568 0.381 0.829
O17 0.596 0.830 0.179
O18 0.627 0.110 0.356
O19 0.654 0.609 0.636
O20 0.675 0.102 0.953
O21 0.718 0.046 0.590
O22 0.755 0.459 0.440
O23 0.835 0.410 0.038
O24 0.844 0.908 0.396
O25 0.853 0.392 0.673
O26 0.888 0.674 0.829
O27 0.914 0.152 0.193
O28 0.948 0.818 0.060

2.
# Na5Fe2P2C2O14
Calculated PXRD pattern, Cu Ka. Input: the GGA+U geometry in Alexandria.

Largest 10 diffraction maxima, sorted by position, 2θ from 10° to 90°:
two_theta  I (rel.)  index
19.4  42  1 1 0
19.6  40  1 1 -2
25.9  29  1 1 1
26.7  100  2 -2 0
33.1  26  -2 2 2
33.5  43  3 -1 0
33.9  73  2 2 -2
34.3  24  1 1 2
41.9  22  3 1 0
55.0  24  4 -4 0

Cell and atoms:
Cell: 8.483 8.562 10.318 Å, 107.24 108.78 103.31°
Element x y z (fractional)
Na1 0.010 0.019 0.257
Na2 0.193 0.439 0.911
Na3 0.254 0.757 0.270
Na4 0.312 0.027 0.075
Na5 0.487 0.512 0.727
Na6 0.513 0.488 0.273
Na7 0.688 0.973 0.925
Na8 0.746 0.243 0.730
Na9 0.807 0.561 0.089
Na10 0.990 0.981 0.743
Fe1 0.175 0.434 0.349
Fe2 0.307 0.053 0.649
Fe3 0.693 0.947 0.351
Fe4 0.825 0.566 0.651
P1 0.055 0.297 0.578
P2 0.434 0.185 0.417
P3 0.566 0.815 0.583
P4 0.945 0.703 0.422
C1 0.019 0.272 0.056
C2 0.477 0.246 0.928
C3 0.523 0.754 0.072
C4 0.981 0.728 0.944
O1 0.023 0.601 0.325
O2 0.044 0.792 0.865
O3 0.053 0.804 0.089
O4 0.096 0.846 0.573
O5 0.157 0.209 0.673
O6 0.158 0.419 0.126
O7 0.187 0.416 0.542
O8 0.302 0.067 0.458
O9 0.326 0.250 0.306
O10 0.346 0.095 0.876
O11 0.418 0.665 0.439
O12 0.446 0.651 0.935
O13 0.477 0.719 0.174
O14 0.494 0.941 0.673
O15 0.506 0.059 0.327
O16 0.523 0.281 0.826
O17 0.554 0.349 0.065
O18 0.582 0.335 0.561
O19 0.654 0.905 0.124
O20 0.674 0.750 0.694
O21 0.698 0.933 0.542
O22 0.813 0.584 0.458
O23 0.842 0.581 0.874
O24 0.843 0.791 0.327
O25 0.904 0.154 0.427
O26 0.947 0.196 0.911
O27 0.956 0.208 0.135
O28 0.977 0.399 0.675

3.
# Na5Fe2P2C2O14
Calculated PXRD pattern, Cu Ka. Input: the GGA+U geometry in Alexandria.

Largest 10 diffraction maxima, sorted by position, 2θ from 10° to 90°:
two_theta  I (rel.)  index
16.6  43  1 1 0
19.3  41  0 0 2
19.6  44  2 0 -2
27.0  100  0 2 0
29.6  37  3 0 0
33.4  38  0 2 2
33.6  78  2 2 0
33.9  85  2 0 -4
48.8  35  4 2 0
55.7  32  0 4 0

Cell and atoms:
Cell: 10.388 6.604 10.571 Å, 90.00 119.41 90.00°
Element x y z (fractional)
Na1 0.079 0.000 0.176
Na2 0.084 0.992 0.678
Na3 0.260 0.751 0.517
Na4 0.266 0.247 0.519
Na5 0.269 0.227 0.003
Na6 0.731 0.727 0.997
Na7 0.734 0.747 0.481
Na8 0.740 0.251 0.483
Na9 0.916 0.492 0.322
Na10 0.921 0.500 0.824
Fe1 0.348 0.503 0.818
Fe2 0.352 0.508 0.317
Fe3 0.648 0.008 0.683
Fe4 0.652 0.003 0.182
P1 0.418 0.995 0.810
P2 0.420 0.007 0.322
P3 0.580 0.507 0.678
P4 0.582 0.495 0.190
C1 0.054 0.491 0.637
C2 0.077 0.514 0.148
C3 0.923 0.014 0.852
C4 0.946 0.991 0.363
O1 0.060 0.035 0.942
O2 0.089 0.003 0.440
O3 0.118 0.481 0.778
O4 0.129 0.514 0.290
O5 0.134 0.491 0.573
O6 0.177 0.493 0.107
O7 0.312 0.810 0.770
O8 0.322 0.183 0.794
O9 0.325 0.193 0.319
O10 0.327 0.818 0.317
O11 0.429 0.505 0.532
O12 0.443 0.477 0.043
O13 0.450 0.015 0.194
O14 0.462 0.009 0.685
O15 0.538 0.509 0.315
O16 0.550 0.515 0.806
O17 0.557 0.977 0.957
O18 0.571 0.005 0.468
O19 0.673 0.318 0.683
O20 0.675 0.693 0.681
O21 0.678 0.683 0.206
O22 0.688 0.310 0.230
O23 0.823 0.993 0.893
O24 0.866 0.991 0.427
O25 0.871 0.014 0.710
O26 0.882 0.981 0.222
O27 0.911 0.503 0.560
O28 0.940 0.535 0.058